# TeMoWSeS2
Simulated XRD peak list, λ = 1.5418 Å (Cu Kα). Input: a PBE-relaxed structure.

Largest 10 diffraction maxima, by angle, 5° ≤ 2θ ≤ 70°:
2θ/deg	I/Imax
11.3	100
13.5	19
31.3	39
35.2	13
36.3	60
37.6	14
43.5	41
45.2	14
55.6	24
56.9	13

Structure:
Cell lengths 3.3057, 3.3057, 39.2955 Å; angles 90.00, 90.00, 120.00 degrees
Space group P3m1 (No. 156)
Unique sites:
1 Te 0.0000 0.0000 0.0000 (multiplicity 1)
2 Te 0.0000 0.0000 0.0974 (multiplicity 1)
3 Mo 0.0000 0.0000 0.8612 (multiplicity 1)
4 Mo 0.3333 0.6667 0.0487 (multiplicity 1)
5 W 0.0000 0.0000 0.2388 (multiplicity 1)
6 W 0.3333 0.6667 0.4256 (multiplicity 1)
7 Se 0.3333 0.6667 0.1957 (multiplicity 1)
8 Se 0.3333 0.6667 0.2818 (multiplicity 1)
9 S 0.0000 0.0000 0.3865 (multiplicity 1)
10 S 0.0000 0.0000 0.4647 (multiplicity 1)
11 S 0.3333 0.6667 0.8223 (multiplicity 1)
12 S 0.3333 0.6667 0.9000 (multiplicity 1)

=====

# Zr2Co21B6
Simulated XRD peak list, λ = 1.5418 Å (Cu Kα). Input: a PBE-relaxed structure.

Largest 10 diffraction maxima, by angle, 5° ≤ 2θ ≤ 70°:
2θ/deg	I/Imax
33.8	3
38.0	40
41.8	39
44.4	100
48.6	24
51.0	25
51.8	7
54.8	4
57.0	3
57.7	11

Structure:
Cell lengths 10.5963, 10.5963, 10.5963 Å; angles 90.00, 90.00, 90.00 degrees
Space group Fm-3m (No. 225)
Unique sites:
1 Zr 0.2500 0.2500 0.2500 (multiplicity 8)
2 Co 0.0000 0.0000 0.0000 (multiplicity 4)
3 Co 0.0000 0.1683 0.1683 (multiplicity 48)
4 Co 0.1141 0.1141 0.3859 (multiplicity 32)
5 B 0.0000 0.0000 0.2736 (multiplicity 24)